# Li4Ti3Cr3Sb2O16
Theoretical X-ray powder pattern, Cu Kα (λ = 1.5418 Å). Input: a GGA+U-relaxed structure.

Principal peaks in the range 2θ = 10–90°, in order of falling intensity:
d_spacing, 2θ/deg, I_rel
4.632, 19.16, 100
2.593, 34.59, 36
2.853, 31.35, 34
2.517, 35.67, 33
1.499, 61.92, 31
2.839, 31.51, 28
3.632, 24.51, 25
2.586, 34.69, 24

a = 5.9924 Å, b = 5.9924 Å, c = 10.2127 Å
α = 90.40°, β = 90.40°, γ = 60.06°
Fractional coordinates of all 28 atoms:
Li  0.0000  0.0000  0.0000
Li  0.9998  0.9998  0.4952
Li  0.3365  0.3365  0.4068
Li  0.6672  0.6672  0.8872
Ti  0.1672  0.6548  0.7200
Ti  0.6548  0.1672  0.7200
Ti  0.8284  0.8284  0.2303
Cr  0.1692  0.1692  0.7082
Cr  0.3392  0.8323  0.2271
Cr  0.8323  0.3392  0.2271
Sb  0.3313  0.3313  0.0180
Sb  0.6641  0.6641  0.4978
O  0.0001  0.0001  0.8097
O  0.0189  0.5012  0.8148
O  0.1560  0.6838  0.1173
O  0.1568  0.1568  0.1156
O  0.3135  0.8414  0.5979
O  0.3377  0.3377  0.6084
O  0.4897  0.4897  0.8165
O  0.5012  0.0189  0.8148
O  0.5192  0.5192  0.3444
O  0.5233  0.9697  0.3435
O  0.6724  0.6724  0.1218
O  0.6838  0.1560  0.1173
O  0.8414  0.3135  0.5979
O  0.8455  0.8455  0.5992
O  0.9697  0.5233  0.3435
O  0.9991  0.9991  0.3174